Diffraction record for Sm2TcH4. The powder XRD pattern is calculated, not measured: it uses the GGA-PBE geometry in Alexandria and CuKα.
Intensities are scaled so that the largest is 100.

Crystal structure
```
data_Sm2TcH4
_space_group_name_H-M_alt 'I 4/m m m'
_space_group_IT_number 139
_space_group_name_Hall '-I 4 2'
_cell_length_a 3.7072
_cell_length_b 3.7072
_cell_length_c 12.3370
_cell_angle_alpha 90.00
_cell_angle_beta 90.00
_cell_angle_gamma 90.00
loop_
_atom_site_label
_atom_site_fract_x
_atom_site_fract_y
_atom_site_fract_z
Sm1 0.0000 0.0000 0.1481
Tc1 0.0000 0.0000 0.5000
H1 0.0000 0.0000 0.3501
H2 0.0000 0.5000 0.0000
```

Peak list (10 most intense, 2θ from 5° to 70°, in order of rising 2θ)
2θ/deg	I_rel
25.08	8
28.95	5
32.52	100
34.21	49
44.06	13
45.41	7
49.15	18
56.92	15
60.18	34
68.11	11

Diffraction record for Sr3InRhO6. The powder XRD pattern is calculated, not measured: it uses the GGA-PBE geometry in Alexandria and CuKα.
Intensities are scaled so that the largest is 100.

Crystal structure
```
data_Sr3InRhO6
_space_group_name_H-M_alt 'R -3 c'
_space_group_IT_number 167
_space_group_name_Hall '-R 3 2"c'
_cell_length_a 9.7222
_cell_length_b 9.7222
_cell_length_c 11.6096
_cell_angle_alpha 90.00
_cell_angle_beta 90.00
_cell_angle_gamma 120.00
loop_
_atom_site_label
_atom_site_fract_x
_atom_site_fract_y
_atom_site_fract_z
Sr1 0.0000 0.3687 0.2500
In1 0.0000 0.0000 0.2500
Rh1 0.0000 0.0000 0.0000
O1 0.0202 0.1750 0.3853
```

Peak list (10 most intense, 2θ from 5° to 70°, in order of rising 2θ)
2θ/deg	I_rel
18.25	31
29.50	54
31.89	100
37.64	32
39.36	14
42.14	35
43.99	30
56.82	14
57.29	27
66.65	12